Entry 1:
This entry pairs a crystal structure of LiGdHg2 with its simulated PXRD pattern. Radiation: a wavelength of 1.5418 Å. Structure: a crystal structure in the Materials Project, relaxed with GGA-PBE.
Peak positions follow from Bragg's law for the DFT cell and can differ from measured ones.

Structural model:
a = 5.102 Å, b = 5.102 Å, c = 5.102 Å
α = 60.00°, β = 60.00°, γ = 60.00°
Atoms (fractional coordinates):
Li 0.000 0.000 0.000
Gd 0.500 0.500 0.500
Hg 0.250 0.250 0.250
Hg 0.750 0.750 0.750

Most intense lines, 10° ≤ 2θ ≤ 90°, in order of rising 2θ:
2θ = 21.33°, intensity 17; 2θ = 24.68°, intensity 22; 2θ = 35.18°, intensity 100; 2θ = 50.60°, intensity 18; 2θ = 57.09°, intensity 10; 2θ = 63.12°, intensity 37; 2θ = 74.37°, intensity 12; 2θ = 85.02°, intensity 17


Entry 2:
This entry pairs a crystal structure of ThSiS with its simulated PXRD pattern. Radiation: a wavelength of 1.5418 Å. Structure: a crystal structure in the Materials Project, relaxed with GGA-PBE.
Peak positions follow from Bragg's law for the DFT cell and can differ from measured ones.

Structural model:
a = 9.031 Å, b = 9.031 Å, c = 9.031 Å
α = 155.03°, β = 155.03°, γ = 35.60°
Atoms (fractional coordinates):
Th 0.137 0.137 0.000
Th 0.863 0.863 0.000
Si 0.000 0.500 0.500
Si 0.500 0.000 0.500
S 0.313 0.313 0.000
S 0.687 0.687 0.000

Most intense lines, 10° ≤ 2θ ≤ 90°, in order of rising 2θ:
2θ = 20.66°, intensity 64; 2θ = 23.36°, intensity 100; 2θ = 27.64°, intensity 96; 2θ = 32.43°, intensity 67; 2θ = 38.76°, intensity 93; 2θ = 43.52°, intensity 61; 2θ = 46.52°, intensity 38; 2θ = 65.59°, intensity 37


Repeat the first record exactly.
This entry pairs a crystal structure of LiGdHg2 with its simulated PXRD pattern. Radiation: a wavelength of 1.5418 Å. Structure: a crystal structure in the Materials Project, relaxed with GGA-PBE.
Peak positions follow from Bragg's law for the DFT cell and can differ from measured ones.

Structural model:
a = 5.102 Å, b = 5.102 Å, c = 5.102 Å
α = 60.00°, β = 60.00°, γ = 60.00°
Atoms (fractional coordinates):
Li 0.000 0.000 0.000
Gd 0.500 0.500 0.500
Hg 0.250 0.250 0.250
Hg 0.750 0.750 0.750

Most intense lines, 10° ≤ 2θ ≤ 90°, in order of rising 2θ:
2θ = 21.33°, intensity 17; 2θ = 24.68°, intensity 22; 2θ = 35.18°, intensity 100; 2θ = 50.60°, intensity 18; 2θ = 57.09°, intensity 10; 2θ = 63.12°, intensity 37; 2θ = 74.37°, intensity 12; 2θ = 85.02°, intensity 17


Please write out number 1 again, unchanged.
This entry pairs a crystal structure of LiGdHg2 with its simulated PXRD pattern. Radiation: a wavelength of 1.5418 Å. Structure: a crystal structure in the Materials Project, relaxed with GGA-PBE.
Peak positions follow from Bragg's law for the DFT cell and can differ from measured ones.

Structural model:
a = 5.102 Å, b = 5.102 Å, c = 5.102 Å
α = 60.00°, β = 60.00°, γ = 60.00°
Atoms (fractional coordinates):
Li 0.000 0.000 0.000
Gd 0.500 0.500 0.500
Hg 0.250 0.250 0.250
Hg 0.750 0.750 0.750

Most intense lines, 10° ≤ 2θ ≤ 90°, in order of rising 2θ:
2θ = 21.33°, intensity 17; 2θ = 24.68°, intensity 22; 2θ = 35.18°, intensity 100; 2θ = 50.60°, intensity 18; 2θ = 57.09°, intensity 10; 2θ = 63.12°, intensity 37; 2θ = 74.37°, intensity 12; 2θ = 85.02°, intensity 17